(1)
For TbPm5Nd5, a GGA-PBE-relaxed structure gives the calculated powder diffraction line list in this record (λ = 1.5418 Å (Cu Kα)).
Kinematic intensities with the Lorentz-polarization factor, no thermal factor.

Cell and atoms:
```
data_TbPm5Nd5
_chemical_formula_sum 'Tb1 Pm5 Nd5'
_symmetry_space_group_name_H-M 'P -1'
_symmetry_Int_Tables_number 2
_symmetry_space_group_name_Hall '-P 1'
_cell_length_a 7.0406
_cell_length_b 7.0438
_cell_length_c 8.8013
_cell_angle_alpha 75.12
_cell_angle_beta 75.42
_cell_angle_gamma 69.86
loop_
_atom_site_label
_atom_site_type_symbol
_atom_site_fract_x
_atom_site_fract_y
_atom_site_fract_z
Tb1 Tb 0.0000 0.0000 0.0000
Pm1 Pm 0.2227 0.6489 0.2730
Pm2 Pm 0.3193 0.3106 0.6377
Pm3 Pm 0.5000 0.0000 0.0000
Nd1 Nd 0.0000 0.5000 0.0000
Nd2 Nd 0.1462 0.1467 0.3608
Nd3 Nd 0.3552 0.7673 0.7334
```

Top 10 peaks for 2θ from 15° to 90°, sorted by position:
2θ = 24.51°, rel. 18.8, (1 -1 1)
2θ = 30.62°, rel. 20.2, (1 1 -2)
2θ = 30.98°, rel. 61.1, (2 2 1)
2θ = 31.14°, rel. 18.8, (1 1 3)
2θ = 31.30°, rel. 100.0, (2 0 -1)
2θ = 31.56°, rel. 60.0, (0 2 2)
2θ = 31.67°, rel. 48.6, (2 0 2)
2θ = 32.09°, rel. 32.0, (0 0 3)
2θ = 44.97°, rel. 16.7, (2 -2 0)
2θ = 55.62°, rel. 23.9, (4 0 1)

(2)
For Tb3Pm2Nd5, a GGA-PBE-relaxed structure gives the calculated powder diffraction line list in this record (λ = 1.5418 Å (Cu Kα)).
Kinematic intensities with the Lorentz-polarization factor, no thermal factor.

Cell and atoms:
```
data_Tb3Pm2Nd5
_chemical_formula_sum 'Tb12 Pm8 Nd20'
_symmetry_space_group_name_H-M 'C 1 2/c 1'
_symmetry_Int_Tables_number 15
_symmetry_space_group_name_Hall '-C 2yc'
_cell_length_a 10.9405
_cell_length_b 15.1275
_cell_length_c 9.9957
_cell_angle_alpha 90.00
_cell_angle_beta 122.99
_cell_angle_gamma 90.00
loop_
_atom_site_label
_atom_site_type_symbol
_atom_site_fract_x
_atom_site_fract_y
_atom_site_fract_z
Tb1 Tb 0.0000 0.0202 0.2500
Tb2 Tb 0.1572 0.3764 0.5525
Pm1 Pm 0.1487 0.1230 0.0562
Nd1 Nd 0.0000 0.2287 0.2500
Nd2 Nd 0.0000 0.2690 0.7500
Nd3 Nd 0.0000 0.4733 0.7500
Nd4 Nd 0.2395 0.3783 0.2325
```

Top 10 peaks for 2θ from 15° to 90°, sorted by position:
2θ = 29.33°, rel. 94.7, (2 2 -3)
2θ = 30.65°, rel. 100.0, (2 4 0)
2θ = 31.87°, rel. 22.1, (0 4 2)
2θ = 32.74°, rel. 46.8, (4 0 -2)
2θ = 36.09°, rel. 22.9, (2 0 2)
2θ = 39.34°, rel. 16.7, (2 6 -1)
2θ = 48.13°, rel. 16.7, (0 8 0)
2θ = 48.64°, rel. 20.9, (0 6 3)
2θ = 57.15°, rel. 17.0, (6 4 -2)
2θ = 68.09°, rel. 17.7, (2 10 -3)

(3)
For Tb7PmNd2, a GGA-PBE-relaxed structure gives the calculated powder diffraction line list in this record (λ = 1.5418 Å (Cu Kα)).
Kinematic intensities with the Lorentz-polarization factor, no thermal factor.

Cell and atoms:
```
data_Tb7PmNd2
_chemical_formula_sum 'Tb7 Pm1 Nd2'
_symmetry_space_group_name_H-M 'P -1'
_symmetry_Int_Tables_number 2
_symmetry_space_group_name_Hall '-P 1'
_cell_length_a 5.7001
_cell_length_b 7.0599
_cell_length_c 8.8168
_cell_angle_alpha 101.49
_cell_angle_beta 108.79
_cell_angle_gamma 90.05
loop_
_atom_site_label
_atom_site_type_symbol
_atom_site_fract_x
_atom_site_fract_y
_atom_site_fract_z
Tb1 Tb 0.0000 0.0000 0.0000
Tb2 Tb 0.2094 0.8578 0.4197
Tb3 Tb 0.3998 0.7026 0.8005
Tb4 Tb 0.4032 0.1978 0.8064
Pm1 Pm 0.0000 0.5000 0.0000
Nd1 Nd 0.2132 0.3531 0.4261
```

Top 10 peaks for 2θ from 15° to 90°, sorted by position:
2θ = 30.18°, rel. 39.0, (0 2 1)
2θ = 31.39°, rel. 53.6, (2 0 -1)
2θ = 31.59°, rel. 100.0, (1 0 2)
2θ = 31.77°, rel. 96.0, (1 2 -2)
2θ = 44.10°, rel. 27.7, (2 2 0)
2θ = 46.69°, rel. 19.7, (0 2 -4)
2θ = 56.00°, rel. 19.8, (3 0 1)
2θ = 56.12°, rel. 19.2, (3 2 -3)
2θ = 57.35°, rel. 21.4, (2 2 -5)
2θ = 61.95°, rel. 29.1, (1 4 1)

(4)
For Tb6Pm3Nd2, a GGA-PBE-relaxed structure gives the calculated powder diffraction line list in this record (λ = 1.5418 Å (Cu Kα)).
Kinematic intensities with the Lorentz-polarization factor, no thermal factor.

Cell and atoms:
```
data_Tb6Pm3Nd2
_chemical_formula_sum 'Tb12 Pm6 Nd4'
_symmetry_space_group_name_H-M 'C 1 2/m 1'
_symmetry_Int_Tables_number 12
_symmetry_space_group_name_Hall '-C 2y'
_cell_length_a 6.1980
_cell_length_b 10.7610
_cell_length_c 11.7621
_cell_angle_alpha 90.00
_cell_angle_beta 100.25
_cell_angle_gamma 90.00
loop_
_atom_site_label
_atom_site_type_symbol
_atom_site_fract_x
_atom_site_fract_y
_atom_site_fract_z
Tb1 Tb 0.2501 0.0000 0.2502
Tb2 Tb 0.2501 0.1666 0.7502
Pm1 Pm 0.0000 0.0000 0.5000
Pm2 Pm 0.0000 0.3356 0.5000
Nd1 Nd 0.0000 0.1666 0.0000
```

Top 10 peaks for 2θ from 15° to 90°, sorted by position:
2θ = 30.60°, rel. 100.0, (1 3 1)
2θ = 30.90°, rel. 32.3, (0 0 4)
2θ = 35.53°, rel. 44.6, (1 3 -3)
2θ = 35.64°, rel. 22.1, (2 0 2)
2θ = 51.01°, rel. 16.0, (3 3 -1)
2θ = 51.38°, rel. 23.5, (1 3 5)
2θ = 60.59°, rel. 9.6, (2 6 -2)
2θ = 60.76°, rel. 23.7, (4 0 0)
2θ = 60.91°, rel. 9.4, (3 3 3)
2θ = 63.70°, rel. 12.3, (2 6 2)

(5)
For Tb5Pm6Nd2, a GGA-PBE-relaxed structure gives the calculated powder diffraction line list in this record (λ = 1.5418 Å (Cu Kα)).
Kinematic intensities with the Lorentz-polarization factor, no thermal factor.

Cell and atoms:
```
data_Tb5Pm6Nd2
_chemical_formula_sum 'Tb10 Pm12 Nd4'
_symmetry_space_group_name_H-M 'P b a m'
_symmetry_Int_Tables_number 55
_symmetry_space_group_name_Hall '-P 2 2ab'
_cell_length_a 11.8360
_cell_length_b 20.5963
_cell_length_c 3.6450
_cell_angle_alpha 90.00
_cell_angle_beta 90.00
_cell_angle_gamma 90.00
loop_
_atom_site_label
_atom_site_type_symbol
_atom_site_fract_x
_atom_site_fract_y
_atom_site_fract_z
Tb1 Tb 0.0000 0.0000 0.0000
Tb2 Tb 0.0914 0.2775 0.0000
Tb3 Tb 0.1991 0.5551 0.0000
Pm1 Pm 0.0603 0.4226 0.5000
Pm2 Pm 0.0793 0.1346 0.5000
Pm3 Pm 0.1775 0.8712 0.0000
Nd1 Nd 0.1687 0.7151 0.5000
```

Top 10 peaks for 2θ from 15° to 90°, sorted by position:
2θ = 27.03°, rel. 23.6, (1 6 0)
2θ = 30.52°, rel. 58.0, (4 1 0)
2θ = 30.99°, rel. 49.9, (1 4 1)
2θ = 31.34°, rel. 83.3, (1 7 0)
2θ = 31.64°, rel. 100.0, (2 3 1)
2θ = 33.72°, rel. 40.5, (2 4 1)
2θ = 34.63°, rel. 25.7, (3 6 0)
2θ = 36.00°, rel. 28.5, (3 3 1)
2θ = 50.04°, rel. 23.1, (0 0 2)
2θ = 60.27°, rel. 32.8, (1 7 2)

(6)
For TbPm5Nd4, a GGA-PBE-relaxed structure gives the calculated powder diffraction line list in this record (λ = 1.5418 Å (Cu Kα)).
Kinematic intensities with the Lorentz-polarization factor, no thermal factor.

Cell and atoms:
```
data_TbPm5Nd4
_chemical_formula_sum 'Tb2 Pm10 Nd8'
_symmetry_space_group_name_H-M 'C 1 2/m 1'
_symmetry_Int_Tables_number 12
_symmetry_space_group_name_Hall '-C 2y'
_cell_length_a 26.1174
_cell_length_b 3.6554
_cell_length_c 7.3034
_cell_angle_alpha 90.00
_cell_angle_beta 98.15
_cell_angle_gamma 90.00
loop_
_atom_site_label
_atom_site_type_symbol
_atom_site_fract_x
_atom_site_fract_y
_atom_site_fract_z
Tb1 Tb 0.0000 0.0000 0.0000
Pm1 Pm 0.0000 0.0000 0.5000
Pm2 Pm 0.0991 0.5000 0.8003
Pm3 Pm 0.1996 0.0000 0.5999
Nd1 Nd 0.0991 0.5000 0.2988
Nd2 Nd 0.1997 0.0000 0.0998
```

Top 10 peaks for 2θ from 15° to 90°, sorted by position:
2θ = 29.95°, rel. 100.0, (5 1 0)
2θ = 34.71°, rel. 50.7, (10 0 0)
2θ = 49.91°, rel. 36.3, (9 1 2)
2θ = 59.29°, rel. 36.1, (4 2 2)
2θ = 59.36°, rel. 7.2, (3 1 4)
2θ = 62.20°, rel. 9.4, (10 2 0)
2θ = 73.26°, rel. 5.8, (2 2 -4)
2θ = 81.07°, rel. 11.8, (5 3 0)
2θ = 81.19°, rel. 5.9, (2 0 6)
2θ = 83.72°, rel. 10.9, (8 2 4)

(7)
For Tb2PmNd4, a GGA-PBE-relaxed structure gives the calculated powder diffraction line list in this record (λ = 1.5418 Å (Cu Kα)).
Kinematic intensities with the Lorentz-polarization factor, no thermal factor.

Cell and atoms:
```
data_Tb2PmNd4
_chemical_formula_sum 'Tb4 Pm2 Nd8'
_symmetry_space_group_name_H-M 'P 1 21/m 1'
_symmetry_Int_Tables_number 11
_symmetry_space_group_name_Hall '-P 2yb'
_cell_length_a 6.2010
_cell_length_b 6.7075
_cell_length_c 11.8681
_cell_angle_alpha 90.00
_cell_angle_beta 104.94
_cell_angle_gamma 90.00
loop_
_atom_site_label
_atom_site_type_symbol
_atom_site_fract_x
_atom_site_fract_y
_atom_site_fract_z
Tb1 Tb 0.0969 0.2500 0.4973
Tb2 Tb 0.2106 0.2500 0.0673
Pm1 Pm 0.3464 0.7500 0.3447
Nd1 Nd 0.1462 0.0041 0.7860
Nd2 Nd 0.3500 0.7500 0.0556
Nd3 Nd 0.4857 0.7500 0.6458
```

Top 10 peaks for 2θ from 15° to 90°, sorted by position:
2θ = 26.58°, rel. 13.6, (0 2 0)
2θ = 27.61°, rel. 21.1, (1 1 -3)
2θ = 28.79°, rel. 23.8, (2 0 -1)
2θ = 30.55°, rel. 19.4, (1 2 -1)
2θ = 30.87°, rel. 100.0, (1 0 3)
2θ = 32.53°, rel. 37.6, (1 2 -2)
2θ = 32.76°, rel. 39.6, (2 1 0)
2θ = 42.73°, rel. 11.2, (2 2 1)
2θ = 50.99°, rel. 11.4, (2 3 -2)
2θ = 64.17°, rel. 18.3, (1 4 3)

(8)
For Tb8PmNd6, a GGA-PBE-relaxed structure gives the calculated powder diffraction line list in this record (λ = 1.5418 Å (Cu Kα)).
Kinematic intensities with the Lorentz-polarization factor, no thermal factor.

Cell and atoms:
```
data_Tb8PmNd6
_chemical_formula_sum 'Tb24 Pm3 Nd18'
_symmetry_space_group_name_H-M 'R -3'
_symmetry_Int_Tables_number 148
_symmetry_space_group_name_Hall '-R 3'
_cell_length_a 9.1763
_cell_length_b 9.1763
_cell_length_c 20.9351
_cell_angle_alpha 90.00
_cell_angle_beta 90.00
_cell_angle_gamma 120.00
loop_
_atom_site_label
_atom_site_type_symbol
_atom_site_fract_x
_atom_site_fract_y
_atom_site_fract_z
Tb1 Tb 0.0000 0.0000 0.0767
Tb2 Tb 0.0803 0.5253 0.3075
Pm1 Pm 0.0000 0.0000 0.5000
Nd1 Nd 0.0600 0.8129 0.2096
```

Top 10 peaks for 2θ from 15° to 90°, sorted by position:
2θ = 30.06°, rel. 21.0, (2 1 1)
2θ = 31.00°, rel. 100.0, (2 0 5)
2θ = 31.97°, rel. 29.5, (1 0 7)
2θ = 32.23°, rel. 8.7, (2 -1 6)
2θ = 34.43°, rel. 10.5, (3 -1 4)
2θ = 36.27°, rel. 14.5, (0 3 3)
2θ = 52.34°, rel. 10.8, (0 3 9)
2θ = 53.20°, rel. 6.0, (5 -2 4)
2θ = 54.51°, rel. 10.6, (4 1 3)
2θ = 59.37°, rel. 11.1, (3 2 7)

(9)
For Tb2Pm3Nd3, a GGA-PBE-relaxed structure gives the calculated powder diffraction line list in this record (λ = 1.5418 Å (Cu Kα)).
Kinematic intensities with the Lorentz-polarization factor, no thermal factor.

Cell and atoms:
```
data_Tb2Pm3Nd3
_chemical_formula_sum 'Tb4 Pm6 Nd6'
_symmetry_space_group_name_H-M 'P m m n'
_symmetry_Int_Tables_number 59
_cell_length_a 5.8727
_cell_length_b 14.7367
_cell_length_c 6.3686
_cell_angle_alpha 90.00
_cell_angle_beta 90.00
_cell_angle_gamma 90.00
loop_
_symmetry_equiv_pos_as_xyz
'x,y,z'
'-x,-y,-z'
'-x+1/2,-y+1/2,z'
'x+1/2,y+1/2,-z'
'x+1/2,-y,-z'
'-x+1/2,y,z'
'-x,y+1/2,-z'
'x,-y+1/2,z'
loop_
_atom_site_label
_atom_site_type_symbol
_atom_site_fract_x
_atom_site_fract_y
_atom_site_fract_z
Tb1 Tb 0.2500 0.1256 0.1639
Pm1 Pm 0.2500 0.2500 0.6624
Pm2 Pm 0.2500 0.6249 0.1675
Nd1 Nd 0.2500 0.9999 0.6671
Nd2 Nd 0.2500 0.7500 0.6705
```

Top 10 peaks for 2θ from 15° to 90°, sorted by position:
2θ = 27.99°, rel. 23.5, (0 4 1)
2θ = 30.44°, rel. 25.2, (2 0 0)
2θ = 31.95°, rel. 100.0, (1 0 2)
2θ = 41.83°, rel. 16.0, (2 4 1)
2θ = 49.53°, rel. 19.6, (0 8 0)
2θ = 55.05°, rel. 21.4, (3 0 2)
2θ = 59.26°, rel. 22.9, (2 8 0)
2θ = 60.16°, rel. 16.4, (1 8 2)
2θ = 81.62°, rel. 9.2, (1 4 5)
2θ = 84.40°, rel. 8.5, (4 8 0)

(10)
For Tb10PmNd4, a GGA-PBE-relaxed structure gives the calculated powder diffraction line list in this record (λ = 1.5418 Å (Cu Kα)).
Kinematic intensities with the Lorentz-polarization factor, no thermal factor.

Cell and atoms:
```
data_Tb10PmNd4
_chemical_formula_sum 'Tb20 Pm2 Nd8'
_symmetry_space_group_name_H-M 'I 4/m'
_symmetry_Int_Tables_number 87
_symmetry_space_group_name_Hall '-I 4'
_cell_length_a 12.2578
_cell_length_b 12.2578
_cell_length_c 7.8077
_cell_angle_alpha 90.00
_cell_angle_beta 90.00
_cell_angle_gamma 90.00
loop_
_atom_site_label
_atom_site_type_symbol
_atom_site_fract_x
_atom_site_fract_y
_atom_site_fract_z
Tb1 Tb 0.0000 0.5000 0.2500
Tb2 Tb 0.0988 0.7998 0.2496
Pm1 Pm 0.0000 0.0000 0.0000
Nd1 Nd 0.1010 0.2989 0.5000
```

Top 10 peaks for 2θ from 15° to 90°, sorted by position:
2θ = 19.79°, rel. 34.5, (2 1 1)
2θ = 22.94°, rel. 16.5, (1 3 0)
2θ = 32.55°, rel. 100.0, (1 3 2)
2θ = 32.67°, rel. 49.5, (4 2 0)
2θ = 38.49°, rel. 12.6, (5 0 1)
2θ = 46.88°, rel. 18.2, (2 6 0)
2θ = 58.01°, rel. 19.3, (4 2 4)
2θ = 58.23°, rel. 38.1, (7 1 2)
2θ = 68.19°, rel. 11.8, (2 6 4)
2θ = 77.91°, rel. 16.3, (10 0 0)

(11)
For Tb6PmNd12, a GGA-PBE-relaxed structure gives the calculated powder diffraction line list in this record (λ = 1.5418 Å (Cu Kα)).
Kinematic intensities with the Lorentz-polarization factor, no thermal factor.

Cell and atoms:
```
data_Tb6PmNd12
_chemical_formula_sum 'Tb18 Pm3 Nd36'
_symmetry_space_group_name_H-M 'R -3 m'
_symmetry_Int_Tables_number 166
_symmetry_space_group_name_Hall '-R 3 2"'
_cell_length_a 13.5252
_cell_length_b 13.5252
_cell_length_c 12.7163
_cell_angle_alpha 90.00
_cell_angle_beta 90.00
_cell_angle_gamma 120.00
loop_
_atom_site_label
_atom_site_type_symbol
_atom_site_fract_x
_atom_site_fract_y
_atom_site_fract_z
Tb1 Tb 0.0436 0.5218 0.1182
Pm1 Pm 0.0000 0.0000 0.5000
Nd1 Nd 0.0000 0.2591 0.0000
Nd2 Nd 0.0901 0.1803 0.7637
```

Top 10 peaks for 2θ from 15° to 90°, sorted by position:
2θ = 28.36°, rel. 25.9, (1 3 1)
2θ = 29.11°, rel. 50.8, (1 0 4)
2θ = 30.91°, rel. 59.7, (3 1 2)
2θ = 31.14°, rel. 72.2, (0 3 3)
2θ = 31.35°, rel. 100.0, (4 0 1)
2θ = 33.70°, rel. 37.5, (0 4 2)
2θ = 33.91°, rel. 29.7, (2 2 3)
2θ = 34.10°, rel. 34.1, (3 2 1)
2θ = 54.26°, rel. 23.6, (4 4 0)
2θ = 55.82°, rel. 29.6, (4 3 4)

(12)
For Tb5Pm4Nd4, a GGA-PBE-relaxed structure gives the calculated powder diffraction line list in this record (λ = 1.5418 Å (Cu Kα)).
Kinematic intensities with the Lorentz-polarization factor, no thermal factor.

Cell and atoms:
```
data_Tb5Pm4Nd4
_chemical_formula_sum 'Tb10 Pm8 Nd8'
_symmetry_space_group_name_H-M 'I 4/m'
_symmetry_Int_Tables_number 87
_symmetry_space_group_name_Hall '-I 4'
_cell_length_a 13.1025
_cell_length_b 13.1025
_cell_length_c 5.1071
_cell_angle_alpha 90.00
_cell_angle_beta 90.00
_cell_angle_gamma 90.00
loop_
_atom_site_label
_atom_site_type_symbol
_atom_site_fract_x
_atom_site_fract_y
_atom_site_fract_z
Tb1 Tb 0.0000 0.0000 0.0000
Tb2 Tb 0.0385 0.1900 0.5000
Pm1 Pm 0.1529 0.7708 0.0000
Nd1 Nd 0.0784 0.3838 0.0000
```

Top 10 peaks for 2θ from 15° to 90°, sorted by position:
2θ = 30.18°, rel. 100.0, (3 2 1)
2θ = 34.92°, rel. 33.9, (1 5 0)
2θ = 35.14°, rel. 16.7, (0 0 2)
2θ = 50.21°, rel. 12.1, (6 4 0)
2θ = 50.38°, rel. 24.1, (1 5 2)
2θ = 59.71°, rel. 28.8, (8 1 1)
2θ = 60.01°, rel. 14.2, (3 2 3)
2θ = 62.76°, rel. 12.4, (6 4 2)
2θ = 81.70°, rel. 5.9, (9 6 1)
2θ = 81.96°, rel. 11.7, (8 1 3)